This entry pairs a crystal structure of ErCr6Ge6 with its calculated XRD peak list. Radiation: CuKα. Structure: a crystal structure in the Materials Project, relaxed with PBE.
No peak broadening, texture or thermal motion is included.

Principal peaks in the range 2θ = 5–70°, in order of falling intensity:
2θ/deg  d/Å  Rel. int.  h k l
41.55  2.173  100.0  1 1 2
35.18  2.551  77.0  1 1 0
40.85  2.209  45.8  2 0 0
38.37  2.346  45.3  1 0 3
46.57  1.950  33.0  2 0 2
48.50  1.877  32.4  1 1 3
43.59  2.076  24.4  0 0 4
67.48  1.388  22.7  3 0 2
65.25  1.430  18.9  2 1 3
53.03  1.727  17.9  2 0 3

Structure:
a b c (Å): 5.1015 5.1015 8.3058
angles (deg): 90.00 90.00 120.00
Space group P6/mmm (No. 191)
Symmetry-distinct sites (fractional):
Er 0.0000 0.0000 0.0000 [1 per cell]
Cr 0.0000 0.5000 0.2503 [6 per cell]
Ge 0.0000 0.0000 0.3454 [2 per cell]
Ge 0.3333 0.6667 0.0000 [2 per cell]
Ge 0.3333 0.6667 0.5000 [2 per cell]